Structure and simulated powder diffractogram of BaPPt4 (a structure optimized by DFT (PBE); Cu Kα (weighted mean of Kα1 and Kα2)).
Intensities are scaled so that the largest is 100.

Structure:
a = 9.920 Å, b = 7.110 Å, c = 7.374 Å
α = 90.00°, β = 111.38°, γ = 90.00°
Space group C2/m (No. 12)
Inequivalent atoms, fractional coordinates:
Ba1 0.165 0.000 0.276 [4 per cell]
P1 0.066 0.500 0.294 [4 per cell]
Pt1 0.000 0.277 0.500 [4 per cell]
Pt2 0.109 0.297 0.900 [8 per cell]
Pt3 0.222 0.000 0.760 [4 per cell]

The 10 most intense peaks (2θ from 15° to 90°), in order of rising 2θ:
(2 0 -1), 2θ = 18.84°, I 54
(3 1 -1), 2θ = 29.90°, I 37
(2 2 -1), 2θ = 31.53°, I 54
(2 2 0), 2θ = 31.75°, I 98
(3 1 -2), 2θ = 33.67°, I 37
(0 2 2), 2θ = 36.38°, I 100
(2 0 -3), 2θ = 36.93°, I 46
(2 0 2), 2θ = 37.93°, I 84
(1 3 0), 2θ = 39.24°, I 34
(4 2 -1), 2θ = 44.56°, I 46